Structure and calculated X-ray powder pattern of Li2ErPCO7 (a DFT-relaxed cell (PBE, the Materials Project); Cu Kα X-rays).
Neutral-atom scattering factors, no anomalous dispersion.

Atomic structure:
Unit cell a=4.908 b=6.739 c=9.088 alpha=90.00 beta=93.35 gamma=90.00
Space group P2_1/m (No. 11)
Inequivalent atoms, fractional coordinates:
1 Li 0.203 0.014 0.299 x4
2 Er 0.257 0.250 0.863 x2
3 P 0.275 0.750 0.907 x2
4 C 0.258 0.250 0.563 x2
5 O 0.025 0.250 0.628 x2
6 O 0.146 0.564 0.834 x4
7 O 0.232 0.750 0.077 x2
8 O 0.272 0.250 0.424 x2
9 O 0.409 0.250 0.103 x2
10 O 0.479 0.250 0.655 x2

Peak list (10 most intense, 2θ from 5° to 70°, in order of falling intensity)
2θ/deg  I/Imax
9.7  100
16.4  51
26.5  42
22.4  41
26.0  29
20.1  28
21.1  19
27.6  19
37.4  15
38.6  15

---

Structure and calculated X-ray powder pattern of Er12Mn5C15 (a DFT-relaxed cell (PBE, the Materials Project); Cu Kα X-rays).
Neutral-atom scattering factors, no anomalous dispersion.

Atomic structure:
Unit cell a=10.3773 b=10.3773 c=4.9764 alpha=90.00 beta=90.00 gamma=120.00
Space group P-62m (No. 189)
Inequivalent atoms, fractional coordinates:
1 Er 0.0000 0.4282 0.0000 x3
2 Er 0.0000 0.7931 0.0000 x3
3 Er 0.1853 0.7302 0.5000 x6
4 Mn 0.0000 0.1528 0.5000 x3
5 Mn 0.3333 0.6667 0.0000 x2
6 C 0.0000 0.3245 0.5000 x3
7 C 0.0000 0.4552 0.5000 x3
8 C 0.0000 0.7970 0.5000 x3
9 C 0.1914 0.7156 0.0000 x6

Peak list (10 most intense, 2θ from 5° to 70°, in order of falling intensity)
2θ/deg  I/Imax
31.9  100
36.1  57
51.9  19
62.3  15
50.8  15
34.6  14
26.7  11
60.3  10
35.0  10
26.2  9

---

Structure and calculated X-ray powder pattern of Er10Mn13C18 (a DFT-relaxed cell (PBE, the Materials Project); Cu Kα X-rays).
Neutral-atom scattering factors, no anomalous dispersion.

Atomic structure:
Unit cell a=10.017 b=10.017 c=10.017 alpha=90.00 beta=90.00 gamma=90.00
Space group I-43m (No. 217)
Inequivalent atoms, fractional coordinates:
1 Er 0.000 0.250 0.500 x12
2 Er 0.205 0.205 0.795 x8
3 Mn 0.000 0.000 0.000 x2
4 Mn 0.077 0.077 0.258 x24
5 C 0.000 0.000 0.431 x12
6 C 0.038 0.259 0.259 x24

Peak list (10 most intense, 2θ from 5° to 70°, in order of falling intensity)
2θ/deg  I/Imax
30.9  100
33.5  78
35.9  61
38.1  57
56.6  47
68.9  25
28.2  25
46.2  23
51.6  23
53.3  22

---

Structure and calculated X-ray powder pattern of Er2MnC4 (a DFT-relaxed cell (PBE, the Materials Project); Cu Kα X-rays).
Neutral-atom scattering factors, no anomalous dispersion.

Atomic structure:
Unit cell a=7.547 b=9.447 c=5.009 alpha=90.00 beta=90.00 gamma=90.00
Space group Ibam (No. 72)
Inequivalent atoms, fractional coordinates:
1 Er 0.155 0.145 0.000 x8
2 Mn 0.000 0.500 0.250 x4
3 C 0.157 0.129 0.500 x8
4 C 0.172 0.421 0.000 x8

Peak list (10 most intense, 2θ from 5° to 70°, in order of falling intensity)
2θ/deg  I/Imax
28.5  100
31.1  87
30.8  45
59.8  32
37.0  30
35.9  27
39.1  24
61.5  24
53.3  23
57.6  22

---

Structure and calculated X-ray powder pattern of ErMoC2 (a DFT-relaxed cell (PBE, the Materials Project); Cu Kα X-rays).
Neutral-atom scattering factors, no anomalous dispersion.

Atomic structure:
Unit cell a=5.677 b=3.363 c=10.762 alpha=90.00 beta=90.00 gamma=90.00
Space group Pnma (No. 62)
Inequivalent atoms, fractional coordinates:
1 Er 0.085 0.250 0.137 x4
2 Mo 0.099 0.750 0.391 x4
3 C 0.159 0.250 0.753 x4
4 C 0.228 0.250 0.487 x4

Peak list (10 most intense, 2θ from 5° to 70°, in order of falling intensity)
2θ/deg  I/Imax
35.2  100
32.6  33
33.3  31
32.0  21
40.5  20
56.4  19
40.0  17
60.8  16
61.9  13
29.5  12

---

Structure and calculated X-ray powder pattern of Er2Mo2C3 (a DFT-relaxed cell (PBE, the Materials Project); Cu Kα X-rays).
Neutral-atom scattering factors, no anomalous dispersion.

Atomic structure:
Unit cell a=11.644 b=3.329 c=5.689 alpha=90.00 beta=111.83 gamma=90.00
Space group C2/m (No. 12)
Inequivalent atoms, fractional coordinates:
1 Er 0.111 0.000 0.327 x4
2 Mo 0.157 0.500 0.827 x4
3 C 0.000 0.500 0.500 x2
4 C 0.248 0.500 0.235 x4

Peak list (10 most intense, 2θ from 5° to 70°, in order of falling intensity)
2θ/deg  I/Imax
34.5  100
36.4  92
33.2  43
31.7  40
31.1  27
43.4  25
50.3  24
34.0  23
55.2  18
56.2  18

---

Structure and calculated X-ray powder pattern of Er2Mo2C3 (a DFT-relaxed cell (PBE, the Materials Project); Cu Kα X-rays).
Neutral-atom scattering factors, no anomalous dispersion.

Atomic structure:
Unit cell a=11.293 b=3.384 c=5.669 alpha=90.00 beta=108.38 gamma=90.00
Space group C2/m (No. 12)
Inequivalent atoms, fractional coordinates:
1 Er 0.114 0.000 0.319 x4
2 Mo 0.149 0.500 0.872 x4
3 C 0.000 0.500 0.000 x2
4 C 0.228 0.000 0.756 x4

Peak list (10 most intense, 2θ from 5° to 70°, in order of falling intensity)
2θ/deg  I/Imax
33.7  100
36.8  87
32.2  45
33.4  44
42.1  24
54.2  17
65.2  16
26.9  16
64.5  15
57.9  14

---

Structure and calculated X-ray powder pattern of Er4Ni13C4 (a DFT-relaxed cell (PBE, the Materials Project); Cu Kα X-rays).
Neutral-atom scattering factors, no anomalous dispersion.

Atomic structure:
Unit cell a=11.686 b=11.946 c=3.838 alpha=90.00 beta=90.00 gamma=90.00
Space group Cmmm (No. 65)
Inequivalent atoms, fractional coordinates:
1 Er 0.000 0.187 0.000 x4
2 Er 0.152 0.500 0.000 x4
3 Ni 0.000 0.000 0.500 x2
4 Ni 0.107 0.323 0.500 x8
5 Ni 0.123 0.000 0.000 x4
6 Ni 0.183 0.108 0.500 x8
7 Ni 0.250 0.250 0.000 x4
8 C 0.000 0.443 0.500 x4
9 C 0.250 0.250 0.500 x4

Peak list (10 most intense, 2θ from 5° to 70°, in order of falling intensity)
2θ/deg  I/Imax
41.7  100
33.3  77
38.2  46
47.4  45
33.6  41
44.5  40
34.2  30
67.0  23
45.0  23
41.3  21